Record 1
The following is a computed XRD peak list of Rb3ZnIn4. It was derived from the PBE geometry in Alexandria, using Cu Ka.
Intensities are scaled so that the largest is 100.

Structural model:
Cell lengths 6.5032, 14.8276, 6.7793 Å; angles 90.00, 90.00, 90.00 degrees
Space group Pmmn (No. 59, origin choice 2)
Asymmetric unit:
Rb: 0.2500 0.0076 0.2042 (multiplicity 4)
Rb: 0.2500 0.7500 0.5087 (multiplicity 2)
Zn: 0.2500 0.2500 0.3329 (multiplicity 2)
In: 0.0127 0.7500 0.0031 (multiplicity 4)
In: 0.2500 0.1424 0.6868 (multiplicity 4)

Main lines, in order of rising 2θ (10° ≤ 2θ ≤ 80°):
- 2θ 11.94, I 97
- 2θ 14.88, I 40
- 2θ 22.42, I 31
- 2θ 24.01, I 33
- 2θ 27.43, I 44
- 2θ 28.96, I 52
- 2θ 30.34, I 45
- 2θ 30.49, I 46
- 2θ 30.74, I 100
- 2θ 32.85, I 86
- 2θ 38.36, I 38
- 2θ 55.37, I 34

Record 2
The following is a computed XRD peak list of RbZrIn. It was derived from the PBE geometry in Alexandria, using Cu Ka.
Intensities are scaled so that the largest is 100.

Structural model:
Cell lengths 3.4901, 4.1939, 14.4556 Å; angles 89.69, 89.30, 90.00 degrees
Space group P-1 (No. 2)
Asymmetric unit:
Rb: 0.2328 0.2431 0.3439 (multiplicity 2)
Zr: 0.2469 0.2489 0.0592 (multiplicity 2)
In: 0.2586 0.2531 0.8402 (multiplicity 2)

Main lines, in order of rising 2θ (10° ≤ 2θ ≤ 80°):
- 2θ 24.48, I 19
- 2θ 24.62, I 40
- 2θ 28.27, I 21
- 2θ 28.54, I 13
- 2θ 32.62, I 36
- 2θ 32.80, I 35
- 2θ 33.40, I 100
- 2θ 33.93, I 15
- 2θ 35.54, I 29
- 2θ 35.99, I 27
- 2θ 43.15, I 29
- 2θ 52.44, I 18

Record 3
The following is a computed XRD peak list of InReRh6. It was derived from the PBE geometry in Alexandria, using Cu Ka.
Intensities are scaled so that the largest is 100.

Structural model:
Cell lengths 3.8925, 3.8925, 7.8667 Å; angles 90.00, 90.00, 90.00 degrees
Space group P4/mmm (No. 123)
Asymmetric unit:
In: 0.0000 0.0000 0.0000 (multiplicity 1)
Re: 0.0000 0.0000 0.5000 (multiplicity 1)
Rh: 0.0000 0.5000 0.2656 (multiplicity 4)
Rh: 0.5000 0.5000 0.0000 (multiplicity 1)
Rh: 0.5000 0.5000 0.5000 (multiplicity 1)

Main lines, in order of rising 2θ (10° ≤ 2θ ≤ 80°):
- 2θ 11.25, I 7
- 2θ 22.61, I 1
- 2θ 22.85, I 2
- 2θ 25.53, I 2
- 2θ 32.36, I 2
- 2θ 39.98, I 100
- 2θ 46.16, I 16
- 2θ 46.67, I 32
- 2θ 47.91, I 3
- 2θ 67.74, I 20
- 2θ 68.14, I 10
- 2θ 78.11, I 1

Record 4
The following is a computed XRD peak list of ScIn2Re. It was derived from the PBE geometry in Alexandria, using Cu Ka.
Intensities are scaled so that the largest is 100.

Structural model:
Cell lengths 3.8554, 4.4210, 4.5390 Å; angles 90.00, 90.00, 90.00 degrees
Space group Pmmm (No. 47)
Asymmetric unit:
Sc: 0.0000 0.0000 0.0000 (multiplicity 1)
In: 0.0000 0.5000 0.5000 (multiplicity 1)
In: 0.5000 0.0000 0.5000 (multiplicity 1)
Re: 0.5000 0.5000 0.0000 (multiplicity 1)

Main lines, in order of rising 2θ (10° ≤ 2θ ≤ 80°):
- 2θ 20.08, I 10
- 2θ 28.18, I 9
- 2θ 36.72, I 100
- 2θ 39.72, I 20
- 2θ 40.82, I 19
- 2θ 47.15, I 12
- 2θ 58.27, I 13
- 2θ 63.30, I 10
- 2θ 64.10, I 10
- 2θ 70.12, I 15
- 2θ 71.64, I 14
- 2θ 78.11, I 11

Record 5
The following is a computed XRD peak list of InRe2Se. It was derived from the PBE geometry in Alexandria, using Cu Ka.
Intensities are scaled so that the largest is 100.

Structural model:
Cell lengths 2.9683, 2.9683, 8.2723 Å; angles 90.00, 90.00, 90.00 degrees
Space group P4mm (No. 99)
Asymmetric unit:
In: 0.0000 0.0000 0.0000 (multiplicity 1)
Re: 0.0000 0.0000 0.4527 (multiplicity 1)
Re: 0.5000 0.5000 0.2480 (multiplicity 1)
Se: 0.5000 0.5000 0.6507 (multiplicity 1)

Main lines, in order of rising 2θ (10° ≤ 2θ ≤ 80°):
- 2θ 10.69, I 72
- 2θ 37.29, I 100
- 2θ 43.10, I 40
- 2θ 43.77, I 9
- 2θ 44.53, I 10
- 2θ 44.87, I 29
- 2θ 55.55, I 6
- 2θ 62.59, I 13
- 2θ 63.11, I 12
- 2θ 72.79, I 12
- 2θ 75.17, I 26
- 2θ 79.49, I 6

Record 6
The following is a computed XRD peak list of InRe4Si. It was derived from the PBE geometry in Alexandria, using Cu Ka.
Intensities are scaled so that the largest is 100.

Structural model:
Cell lengths 7.4215, 7.4215, 7.4215 Å; angles 90.00, 90.00, 90.00 degrees
Space group F-43m (No. 216)
Asymmetric unit:
In: 0.0000 0.0000 0.0000 (multiplicity 4)
Re: 0.1248 0.1248 0.3752 (multiplicity 16)
Si: 0.2500 0.2500 0.7500 (multiplicity 4)

Main lines, in order of rising 2θ (10° ≤ 2θ ≤ 80°):
- 2θ 20.73, I 58
- 2θ 23.98, I 3
- 2θ 34.17, I 7
- 2θ 40.31, I 100
- 2θ 42.18, I 72
- 2θ 49.10, I 22
- 2θ 53.85, I 15
- 2θ 55.36, I 1
- 2θ 61.18, I 3
- 2θ 65.33, I 32
- 2θ 71.98, I 31
- 2θ 75.84, I 11